# 1
Simulated powder X-ray diffraction pattern of Sr2Sc4As3O2 for Cu Kα, 1.54184 Å, from a crystal structure in Alexandria, relaxed with GGA-PBE.

Structural model:
```
11
Lattice="-2.167 2.167 11.890 2.167 -2.167 11.890 2.167 2.167 -11.890" Properties=species:S:1:pos:R:3 pbc="T T T"
Sr 0.000 0.000 4.615
Sr 0.000 0.000 19.164
Sc 2.167 0.000 1.791
Sc 2.167 0.000 10.099
Sc 0.000 2.167 1.791
Sc 0.000 2.167 10.099
As 0.000 0.000 8.058
As 0.000 0.000 11.890
As 0.000 0.000 15.722
O 0.000 0.000 1.989
O 0.000 0.000 21.791
```

Top 10 peaks for 10° ≤ 2θ ≤ 90°, sorted by position:
29.1 deg, I 32; 30.1 deg, I 56; 33.5 deg, I 67; 37.1 deg, I 100; 41.7 deg, I 65; 52.2 deg, I 14; 54.5 deg, I 52; 60.4 deg, I 21; 70.8 deg, I 20; 73.1 deg, I 26

# 2
Simulated powder X-ray diffraction pattern of Y3TlH for Cu Kα, 1.54184 Å, from a crystal structure in Alexandria, relaxed with GGA-PBE.

Structural model:
```
10
Lattice="6.644 0.000 0.000 0.000 3.610 0.000 -1.657 0.000 10.196" Properties=species:S:1:pos:R:3 pbc="T T T"
Y -0.053 0.903 3.697
Y 0.006 0.903 9.251
Y 1.610 2.708 6.468
Y 3.377 0.903 3.728
Y 4.981 2.708 0.944
Y 5.040 2.708 6.498
Tl 1.668 2.708 1.644
Tl 3.319 0.903 8.552
H 0.024 0.903 6.924
H 4.963 2.708 3.272
```

Top 10 peaks for 10° ≤ 2θ ≤ 90°, sorted by position:
17.2 deg, I 15; 27.2 deg, I 24; 29.9 deg, I 31; 30.3 deg, I 100; 34.8 deg, I 33; 35.2 deg, I 22; 37.0 deg, I 50; 39.2 deg, I 24; 55.3 deg, I 26; 64.4 deg, I 22

# 3
Simulated powder X-ray diffraction pattern of Nb7V2Os3 for Cu Kα, 1.54184 Å, from a crystal structure in Alexandria, relaxed with GGA-PBE.

Structural model:
```
12
Lattice="2.249 -11.140 0.000 2.249 11.140 0.000 0.000 0.000 4.372" Properties=species:S:1:pos:R:3 pbc="T T T"
Nb 0.000 0.000 0.000
Nb 2.249 9.407 2.186
Nb 2.249 4.731 0.000
Nb 2.249 1.645 0.000
Nb 2.249 -1.645 0.000
Nb 2.249 -4.731 0.000
Nb 2.249 -9.407 2.186
V 2.249 7.847 0.000
V 2.249 -7.847 0.000
Os 2.249 3.256 2.186
Os 2.249 0.000 2.186
Os 2.249 -3.256 2.186
```

Top 10 peaks for 10° ≤ 2θ ≤ 90°, sorted by position:
20.1 deg, I 15; 23.1 deg, I 9; 35.0 deg, I 9; 40.1 deg, I 26; 40.4 deg, I 100; 41.3 deg, I 24; 58.9 deg, I 17; 73.0 deg, I 17; 74.7 deg, I 16; 87.3 deg, I 10

# 4
Simulated powder X-ray diffraction pattern of NiHgPb3 for Cu Kα, 1.54184 Å, from a crystal structure in Alexandria, relaxed with GGA-PBE.

Structural model:
```
10
Lattice="8.300 0.000 0.000 0.000 4.265 0.000 -3.289 0.000 7.628" Properties=species:S:1:pos:R:3 pbc="T T T"
Ni 0.351 1.066 0.705
Ni 4.660 3.199 6.924
Hg 0.419 3.199 5.549
Hg 4.592 1.066 2.080
Pb -2.210 1.066 5.654
Pb 2.154 3.199 0.615
Pb 1.293 1.066 3.266
Pb 3.718 3.199 4.363
Pb 2.858 1.066 7.014
Pb 7.222 3.199 1.975
```

Top 10 peaks for 10° ≤ 2θ ≤ 90°, sorted by position:
28.6 deg, I 100; 30.1 deg, I 72; 31.5 deg, I 36; 32.4 deg, I 46; 33.3 deg, I 72; 35.3 deg, I 47; 38.8 deg, I 29; 42.4 deg, I 41; 56.3 deg, I 25; 65.1 deg, I 28

# 5
Simulated powder X-ray diffraction pattern of Li2PmInS4 for Cu Kα, 1.54184 Å, from a crystal structure in Alexandria, relaxed with GGA-PBE.

Structural model:
```
16
Lattice="-3.810 3.962 5.442 3.810 -3.962 5.442 3.810 3.962 -5.442" Properties=species:S:1:pos:R:3 pbc="T T T"
Li 0.000 0.000 0.000
Li -1.905 1.981 2.721
Li 0.000 3.962 0.000
Li 1.905 1.981 2.721
Pm 3.810 0.000 0.000
Pm 0.000 0.000 5.442
In 1.905 1.981 -2.721
In 1.905 -1.981 2.721
S 3.810 3.838 -2.811
S 3.810 -0.124 2.811
S 1.846 1.981 0.028
S 1.965 -1.981 5.470
S 1.846 5.943 -0.028
S 1.965 1.981 5.413
S 0.000 4.085 2.630
S 0.000 0.124 8.253
```

Top 10 peaks for 10° ≤ 2θ ≤ 90°, sorted by position:
13.8 deg, I 65; 14.2 deg, I 80; 26.6 deg, I 41; 27.2 deg, I 42; 32.6 deg, I 100; 32.9 deg, I 49; 35.6 deg, I 23; 45.8 deg, I 18; 47.0 deg, I 68; 57.6 deg, I 18

# 6
Simulated powder X-ray diffraction pattern of GaSiHgOsRh for Cu Kα, 1.54184 Å, from a crystal structure in Alexandria, relaxed with GGA-PBE.

Structural model:
```
5
Lattice="2.548 -1.472 0.000 2.548 1.472 0.000 -1.771 0.000 10.783" Properties=species:S:1:pos:R:3 pbc="T T T"
Ga 0.000 0.000 0.000
Si 1.646 0.000 6.941
Hg -0.024 0.000 2.754
Os -0.063 0.000 8.743
Rh 3.350 0.000 5.190
```

Top 10 peaks for 10° ≤ 2θ ≤ 90°, sorted by position:
16.4 deg, I 67; 33.2 deg, I 41; 35.3 deg, I 67; 37.0 deg, I 100; 37.9 deg, I 42; 40.3 deg, I 23; 40.5 deg, I 45; 47.1 deg, I 66; 47.4 deg, I 33; 63.2 deg, I 47

# 7
Simulated powder X-ray diffraction pattern of Dy2MnI8 for Cu Kα, 1.54184 Å, from a crystal structure in Alexandria, relaxed with GGA-PBE.

Structural model:
```
11
Lattice="10.867 -2.038 0.000 10.867 2.038 0.000 -0.578 0.000 11.148" Properties=species:S:1:pos:R:3 pbc="T T T"
Dy 3.107 0.000 2.859
Dy 18.049 0.000 8.290
Mn 10.867 0.000 0.000
I -0.433 0.000 9.129
I 4.880 0.000 7.881
I 7.385 0.000 10.707
I 8.424 0.000 6.380
I 12.731 0.000 4.768
I 13.770 0.000 0.442
I 16.275 0.000 3.267
I 21.588 0.000 2.019
```

Top 10 peaks for 10° ≤ 2θ ≤ 90°, sorted by position:
11.1 deg, I 100; 11.7 deg, I 27; 26.3 deg, I 32; 27.3 deg, I 24; 27.5 deg, I 50; 30.1 deg, I 24; 32.7 deg, I 24; 34.5 deg, I 28; 39.3 deg, I 23; 39.5 deg, I 22

# 8
Simulated powder X-ray diffraction pattern of Ac4C for Cu Kα, 1.54184 Å, from a crystal structure in Alexandria, relaxed with GGA-PBE.

Structural model:
```
5
Lattice="5.631 0.000 0.000 0.000 5.631 0.000 0.000 0.000 5.631" Properties=species:S:1:pos:R:3 pbc="T T T"
Ac 0.000 0.000 0.000
Ac 0.000 2.815 2.815
Ac 2.815 0.000 2.815
Ac 2.815 2.815 0.000
C 2.815 2.815 2.815
```

Top 9 peaks for 10° ≤ 2θ ≤ 90°, sorted by position:
27.4 deg, I 100; 31.8 deg, I 54; 45.6 deg, I 41; 54.0 deg, I 48; 56.6 deg, I 15; 66.4 deg, I 7; 73.3 deg, I 20; 75.5 deg, I 19; 84.2 deg, I 15

# 9
Simulated powder X-ray diffraction pattern of Ba3LaNb3O12 for Cu Kα, 1.54184 Å, from a crystal structure in Alexandria, relaxed with GGA-PBE.

Structural model:
```
19
Lattice="2.916 1.684 9.357 -2.916 1.684 9.357 0.000 -3.367 9.357" Properties=species:S:1:pos:R:3 pbc="T T T"
Ba 0.000 0.000 0.000
Ba 0.000 0.000 4.405
Ba 0.000 0.000 16.232
La 0.000 0.000 12.230
Nb 0.000 0.000 8.130
Nb 0.000 0.000 20.020
Nb 0.000 0.000 24.282
O 0.000 -1.676 6.879
O -1.451 0.838 6.879
O -1.456 -0.841 13.947
O -1.448 -0.836 20.882
O 0.000 -1.703 18.558
O -1.475 0.852 18.558
O 1.451 0.838 6.879
O 1.456 -0.841 13.947
O 0.000 1.681 13.947
O 1.448 -0.836 20.882
O 0.000 1.673 20.882
O 1.475 0.852 18.558
```

Top 10 peaks for 10° ≤ 2θ ≤ 90°, sorted by position:
28.4 deg, I 100; 30.7 deg, I 83; 42.3 deg, I 55; 48.9 deg, I 21; 53.1 deg, I 35; 54.5 deg, I 17; 58.8 deg, I 15; 63.8 deg, I 17; 67.8 deg, I 18; 71.3 deg, I 15